[1]
The following is a computed powder X-ray diffraction pattern of Ti5Fe4Sb4. It was derived from a structure optimized by DFT (PBE), using Cu Kα (λ = 1.5418 Å).
Neutral-atom scattering factors, no anomalous dispersion.

a = 4.4731 Å, b = 4.4731 Å, c = 42.9220 Å
α = 90.00°, β = 90.00°, γ = 120.00°
Space group R3m (No. 160, hexagonal axes)
Inequivalent atoms, fractional coordinates:
Ti 0.0000 0.0000 0.0000
Ti 0.0000 0.0000 0.1260
Ti 0.0000 0.0000 0.2519
Ti 0.0000 0.0000 0.5029
Ti 0.0000 0.0000 0.7537
Fe 0.0000 0.0000 0.1870
Fe 0.0000 0.0000 0.4415
Fe 0.0000 0.0000 0.6905
Fe 0.0000 0.0000 0.9384
Sb 0.0000 0.0000 0.0613
Sb 0.0000 0.0000 0.3150
Sb 0.0000 0.0000 0.5667
Sb 0.0000 0.0000 0.8200

The 10 most intense peaks (2θ from 5° to 70°), sorted by position:
d_spacing, intensity, (hkl)
3.644, 31.8, 1 0 4
3.577, 11.6, 0 0 12
3.141, 64.3, 0 1 8
2.237, 100.0, 1 1 0
2.205, 89.8, 1 0 16
1.896, 11.7, 1 1 12
1.822, 13.4, 2 0 8
1.570, 29.3, 0 2 16
1.413, 11.5, 1 2 8
1.397, 8.9, 1 1 24

=====

[2]
The following is a computed powder X-ray diffraction pattern of TiFeSb. It was derived from a structure optimized by DFT (PBE), using Cu Kα (λ = 1.5418 Å).
Neutral-atom scattering factors, no anomalous dispersion.

a = 5.9653 Å, b = 5.9653 Å, c = 5.9653 Å
α = 90.00°, β = 90.00°, γ = 90.00°
Space group F-43m (No. 216)
Inequivalent atoms, fractional coordinates:
Ti 0.0000 0.0000 0.0000
Fe 0.2500 0.2500 0.7500
Sb 0.0000 0.0000 0.5000

The 7 most intense peaks (2θ from 5° to 70°), sorted by position:
d_spacing, intensity, (hkl)
3.444, 45.3, 1 1 1
2.983, 31.5, 2 0 0
2.109, 100.0, 2 2 0
1.799, 21.4, 3 1 1
1.722, 8.1, 2 2 2
1.491, 15.6, 4 0 0
1.369, 8.6, 3 3 1

=====

[3]
The following is a computed powder X-ray diffraction pattern of Ti5Fe4Sb4. It was derived from a structure optimized by DFT (PBE), using Cu Kα (λ = 1.5418 Å).
Neutral-atom scattering factors, no anomalous dispersion.

a = 4.2709 Å, b = 4.2709 Å, c = 41.0346 Å
α = 90.00°, β = 90.00°, γ = 120.00°
Space group R3m (No. 160, hexagonal axes)
Inequivalent atoms, fractional coordinates:
Ti 0.0000 0.0000 0.0000
Ti 0.0000 0.0000 0.0680
Ti 0.0000 0.0000 0.2552
Ti 0.0000 0.0000 0.5081
Ti 0.0000 0.0000 0.7601
Fe 0.0000 0.0000 0.1944
Fe 0.0000 0.0000 0.4397
Fe 0.0000 0.0000 0.6938
Fe 0.0000 0.0000 0.9438
Sb 0.0000 0.0000 0.1344
Sb 0.0000 0.0000 0.3732
Sb 0.0000 0.0000 0.6281
Sb 0.0000 0.0000 0.8807

The 10 most intense peaks (2θ from 5° to 70°), sorted by position:
d_spacing, intensity, (hkl)
3.479, 48.3, 1 0 4
3.420, 18.1, 0 0 12
3.000, 41.3, 0 1 8
2.135, 100.0, 1 1 0
2.108, 84.4, 1 0 16
1.820, 7.9, 0 2 4
1.811, 17.9, 1 1 12
1.740, 8.3, 2 0 8
1.500, 26.8, 0 2 16
1.349, 7.1, 1 2 8

=====

[4]
The following is a computed powder X-ray diffraction pattern of ZnFeSb. It was derived from a structure optimized by DFT (PBE), using Cu Kα (λ = 1.5418 Å).
Neutral-atom scattering factors, no anomalous dispersion.

a = 6.2202 Å, b = 6.2202 Å, c = 6.2202 Å
α = 90.00°, β = 90.00°, γ = 90.00°
Space group F-43m (No. 216)
Inequivalent atoms, fractional coordinates:
Zn 0.0000 0.0000 0.0000
Fe 0.0000 0.0000 0.5000
Sb 0.2500 0.2500 0.7500

The 5 most intense peaks (2θ from 5° to 70°), sorted by position:
d_spacing, intensity, (hkl)
3.591, 59.9, 1 1 1
2.199, 100.0, 2 2 0
1.875, 28.7, 3 1 1
1.555, 16.0, 4 0 0
1.427, 11.5, 3 3 1

=====

[5]
The following is a computed powder X-ray diffraction pattern of Zr5FeSb3. It was derived from a structure optimized by DFT (PBE), using Cu Kα (λ = 1.5418 Å).
Neutral-atom scattering factors, no anomalous dispersion.

a = 8.6735 Å, b = 8.6735 Å, c = 5.7990 Å
α = 90.00°, β = 90.00°, γ = 120.00°
Space group P6_3/mcm (No. 193)
Inequivalent atoms, fractional coordinates:
Zr 0.0000 0.2557 0.2500
Zr 0.3333 0.6667 0.0000
Fe 0.0000 0.0000 0.0000
Sb 0.0000 0.3910 0.7500

The 10 most intense peaks (2θ from 5° to 70°), sorted by position:
d_spacing, intensity, (hkl)
2.899, 17.0, 0 0 2
2.839, 11.0, 2 1 0
2.550, 98.1, 2 1 1
2.504, 75.8, 3 0 0
2.410, 100.0, 1 1 2
1.961, 24.7, 3 1 1
1.736, 22.4, 2 2 2
1.652, 10.7, 3 2 1
1.598, 22.8, 2 1 3
1.379, 11.0, 4 2 1

=====

[6]
The following is a computed powder X-ray diffraction pattern of Zr6FeSb2. It was derived from a structure optimized by DFT (PBE), using Cu Kα (λ = 1.5418 Å).
Neutral-atom scattering factors, no anomalous dispersion.

a = 7.8490 Å, b = 7.8490 Å, c = 3.6214 Å
α = 90.00°, β = 90.00°, γ = 120.00°
Space group P-62m (No. 189)
Inequivalent atoms, fractional coordinates:
Zr 0.0000 0.2400 0.0000
Zr 0.0000 0.6001 0.5000
Fe 0.0000 0.0000 0.5000
Sb 0.3333 0.6667 0.0000

The 10 most intense peaks (2θ from 5° to 70°), sorted by position:
d_spacing, intensity, (hkl)
2.661, 100.0, 1 1 1
2.569, 64.7, 2 1 0
2.478, 77.0, 2 0 1
2.266, 43.2, 3 0 0
2.095, 39.9, 2 1 1
1.811, 20.2, 0 0 2
1.480, 22.6, 2 1 2
1.432, 29.1, 3 2 1
1.415, 18.5, 3 0 2
1.373, 17.6, 4 1 1

=====

[7]
The following is a computed powder X-ray diffraction pattern of ScFe3. It was derived from a structure optimized by DFT (PBE), using Cu Kα (λ = 1.5418 Å).
Neutral-atom scattering factors, no anomalous dispersion.

a = 5.4870 Å, b = 5.4870 Å, c = 4.3520 Å
α = 90.00°, β = 90.00°, γ = 120.00°
Space group P6_3/mmc (No. 194)
Inequivalent atoms, fractional coordinates:
Sc 0.3333 0.6667 0.2500
Fe 0.1483 0.2965 0.7500

The 10 most intense peaks (2θ from 5° to 70°), sorted by position:
d_spacing, intensity, (hkl)
4.752, 13.3, 1 0 0
2.376, 24.8, 2 0 0
2.176, 27.7, 0 0 2
2.085, 100.0, 2 0 1
1.978, 2.5, 1 0 2
1.796, 2.7, 2 1 0
1.660, 3.5, 2 1 1
1.605, 13.3, 2 0 2
1.488, 5.5, 3 0 1
1.372, 12.6, 2 2 0

=====

[8]
The following is a computed powder X-ray diffraction pattern of Sc4Fe. It was derived from a structure optimized by DFT (PBE), using Cu Kα (λ = 1.5418 Å).
Neutral-atom scattering factors, no anomalous dispersion.

a = 9.7524 Å, b = 9.7524 Å, c = 9.7524 Å
α = 90.00°, β = 90.00°, γ = 90.00°
Space group Fd-3m (No. 227, origin choice 2)
Inequivalent atoms, fractional coordinates:
Sc 0.0115 0.0115 0.2385
Fe 0.1250 0.1250 0.6250

The 10 most intense peaks (2θ from 5° to 70°), sorted by position:
d_spacing, intensity, (hkl)
5.631, 9.2, 1 1 1
3.448, 34.1, 2 2 0
2.940, 13.8, 3 1 1
2.815, 100.0, 2 2 2
2.438, 20.4, 4 0 0
2.237, 26.6, 3 3 1
1.991, 10.7, 4 2 2
1.877, 20.6, 5 1 1
1.724, 51.3, 4 4 0
1.470, 28.8, 6 2 2

=====

[9]
The following is a computed powder X-ray diffraction pattern of Sc2Fe3Si5. It was derived from a structure optimized by DFT (PBE), using Cu Kα (λ = 1.5418 Å).
Neutral-atom scattering factors, no anomalous dispersion.

a = 10.1687 Å, b = 10.1687 Å, c = 5.2806 Å
α = 90.00°, β = 90.00°, γ = 90.00°
Space group P4/mnc (No. 128)
Inequivalent atoms, fractional coordinates:
Sc 0.0681 0.2362 0.0000
Fe 0.0000 0.5000 0.2500
Fe 0.1226 0.8564 0.5000
Si 0.0000 0.0000 0.2464
Si 0.0281 0.3185 0.5000
Si 0.1780 0.6780 0.2500

The 10 most intense peaks (2θ from 5° to 70°), sorted by position:
d_spacing, intensity, (hkl)
4.686, 53.1, 1 0 1
3.216, 30.2, 3 1 0
2.746, 42.0, 3 1 1
2.466, 31.8, 4 1 0
2.283, 36.2, 2 1 2
2.274, 45.9, 4 2 0
2.235, 90.5, 4 1 1
2.128, 100.0, 2 2 2
1.898, 34.3, 4 3 1
1.775, 52.8, 3 3 2

=====

[10]
The following is a computed powder X-ray diffraction pattern of ScFe4Si2. It was derived from a structure optimized by DFT (PBE), using Cu Kα (λ = 1.5418 Å).
Neutral-atom scattering factors, no anomalous dispersion.

a = 6.8819 Å, b = 6.8819 Å, c = 3.7671 Å
α = 90.00°, β = 90.00°, γ = 90.00°
Space group P4_2/mnm (No. 136)
Inequivalent atoms, fractional coordinates:
Sc 0.0000 0.0000 0.0000
Fe 0.0904 0.3521 0.5000
Si 0.2173 0.7827 0.5000

The 10 most intense peaks (2θ from 5° to 70°), sorted by position:
d_spacing, intensity, (hkl)
4.866, 44.4, 1 1 0
2.979, 10.9, 1 1 1
2.383, 67.6, 2 1 1
2.176, 39.2, 3 1 0
2.044, 74.9, 2 2 1
1.884, 100.0, 0 0 2
1.669, 17.9, 4 1 0
1.526, 6.4, 4 1 1
1.424, 17.8, 3 1 2
1.350, 6.1, 5 1 0

=====

[11]
The following is a computed powder X-ray diffraction pattern of ScFeSi2. It was derived from a structure optimized by DFT (PBE), using Cu Kα (λ = 1.5418 Å).
Neutral-atom scattering factors, no anomalous dispersion.

a = 8.9457 Å, b = 9.7478 Å, c = 7.7693 Å
α = 90.00°, β = 90.00°, γ = 90.00°
Space group Pbam (No. 55)
Inequivalent atoms, fractional coordinates:
Sc 0.1698 0.1779 0.0000
Sc 0.1751 0.4511 0.2471
Fe 0.0000 0.0000 0.2471
Fe 0.0853 0.7410 0.2485
Si 0.0363 0.6209 0.0000
Si 0.0401 0.6272 0.5000
Si 0.1062 0.8978 0.5000
Si 0.1208 0.8942 0.0000
Si 0.1606 0.1785 0.3466

The 10 most intense peaks (2θ from 5° to 70°), sorted by position:
d_spacing, intensity, (hkl)
3.884, 37.1, 0 0 2
2.351, 42.5, 1 4 0
2.299, 93.9, 3 1 2
2.197, 59.3, 3 3 0
2.181, 66.2, 4 1 0
2.177, 100.0, 2 3 2
2.064, 77.0, 0 4 2
1.942, 45.6, 0 0 4
1.874, 25.4, 2 4 2
1.375, 20.3, 4 5 2